The following is a calculated PXRD pattern of Rb3PdBr6. It was derived from DFT lattice parameters and positions (PBE), using a wavelength of 1.5418 Å.
Neutral-atom scattering factors, no anomalous dispersion.

Most intense lines, 2θ = 10–80°, low angle first:
- 2θ 13.21, I 28
- 2θ 15.49, I 34
- 2θ 21.49, I 38
- 2θ 21.98, I 19
- 2θ 26.61, I 90
- 2θ 29.87, I 60
- 2θ 31.28, I 100
- 2θ 43.80, I 73
- 2θ 44.82, I 32
- 2θ 54.80, I 33

Structure:
Cell lengths 8.2768, 8.2768, 8.2768 Å; angles 121.50, 121.50, 87.42 degrees
Element x y z (fractional)
Rb: 0.0000 0.0000 0.0000
Rb: 0.2500 0.7500 0.5000
Rb: 0.7500 0.2500 0.5000
Pd: 0.5000 0.5000 0.0000
Br: 0.2704 0.2704 0.0000
Br: 0.2813 0.2813 0.5626
Br: 0.2813 0.7187 0.0000
Br: 0.7187 0.2813 0.0000
Br: 0.7187 0.7187 0.4374
Br: 0.7296 0.7296 0.0000